Record 1
For Ba3Ta5O15, a GGA-PBE-relaxed structure gives the simulated X-ray powder pattern in this record (CuKα).
Intensities are scaled so that the largest is 100.

Cell and atoms:
```
Ba3Ta5O15
1.0
12.7699 0.0000 0.0000
0.0000 12.7699 0.0000
0.0000 0.0000 4.0141
Ba Ta O
6 10 30
Direct
0.0000 0.0000 0.0000
0.1687 0.3313 0.0000
0.3313 0.8313 0.0000
0.5000 0.5000 0.0000
0.6687 0.1687 0.0000
0.8313 0.6687 0.0000
0.0000 0.5000 0.5000
0.0765 0.7872 0.5000
0.2128 0.0765 0.5000
0.2872 0.5765 0.5000
0.4235 0.2872 0.5000
0.5000 0.0000 0.5000
0.5765 0.7128 0.5000
0.7128 0.4235 0.5000
0.7872 0.9235 0.5000
0.9235 0.2128 0.5000
0.0000 0.5000 0.0000
0.0063 0.3437 0.5000
0.0683 0.1409 0.5000
0.0777 0.7917 0.0000
0.1409 0.9317 0.5000
0.1563 0.4937 0.5000
0.2083 0.0777 0.0000
0.2179 0.7179 0.5000
0.2821 0.2179 0.5000
0.2917 0.5777 0.0000
0.3437 0.9937 0.5000
0.3591 0.4317 0.5000
0.4223 0.2917 0.0000
0.4317 0.6409 0.5000
0.4937 0.8437 0.5000
0.5000 0.0000 0.0000
0.5063 0.1563 0.5000
0.5683 0.3591 0.5000
0.5777 0.7083 0.0000
0.6409 0.5683 0.5000
0.6563 0.0063 0.5000
0.7083 0.4223 0.0000
0.7179 0.7821 0.5000
0.7821 0.2821 0.5000
0.7917 0.9223 0.0000
0.8437 0.5063 0.5000
0.8591 0.0683 0.5000
0.9223 0.2083 0.0000
0.9317 0.8591 0.5000
0.9937 0.6563 0.5000
```

The 12 most intense peaks (10 to 90 degrees two-theta), sorted by position:
2θ = 22.15°, rel. 20
2θ = 25.14°, rel. 28
2θ = 27.15°, rel. 43
2θ = 28.83°, rel. 51
2θ = 29.78°, rel. 16
2θ = 31.39°, rel. 100
2θ = 33.75°, rel. 20
2θ = 45.18°, rel. 20
2θ = 50.57°, rel. 26
2θ = 51.14°, rel. 13
2θ = 54.48°, rel. 17
2θ = 55.82°, rel. 24

Record 2
For Pm3Pr4Dy8, a GGA-PBE-relaxed structure gives the simulated X-ray powder pattern in this record (CuKα).
Intensities are scaled so that the largest is 100.

Cell and atoms:
```
Pm3Pr4Dy8
1.0
6.7730 -6.4600 0.0000
6.7730 6.4600 0.0000
-3.4376 0.0000 5.9029
Pm Pr Dy
3 4 8
Direct
0.0000 0.0000 0.0000
0.0000 0.5000 0.5000
0.5000 0.0000 0.5000
0.0000 0.5000 0.0000
0.5000 0.0000 0.0000
0.5000 0.5000 0.0000
0.5000 0.5000 0.5000
0.1398 0.8602 0.5000
0.2302 0.2302 0.9666
0.2316 0.2316 0.4906
0.2425 0.7575 0.0000
0.7575 0.2425 0.0000
0.7684 0.7684 0.5094
0.7698 0.7698 0.0334
0.8602 0.1398 0.5000
```

The 12 most intense peaks (10 to 90 degrees two-theta), sorted by position:
2θ = 27.62°, rel. 34
2θ = 30.30°, rel. 100
2θ = 30.55°, rel. 47
2θ = 31.60°, rel. 30
2θ = 38.51°, rel. 12
2θ = 41.46°, rel. 45
2θ = 41.65°, rel. 21
2θ = 53.67°, rel. 11
2θ = 54.14°, rel. 17
2θ = 61.85°, rel. 12
2θ = 63.02°, rel. 13
2θ = 65.94°, rel. 20

Record 3
For TlSnSeS, a GGA-PBE-relaxed structure gives the simulated X-ray powder pattern in this record (CuKα).
Intensities are scaled so that the largest is 100.

Cell and atoms:
```
TlSnSeS
1.0
4.1054 0.0000 0.0000
0.0000 6.0900 0.0000
0.0000 0.0000 4.3219
Tl Sn Se S
1 1 1 1
Direct
0.0000 0.0000 0.0000
0.5000 0.5000 0.5218
0.5000 0.0000 0.4974
0.0000 0.5000 0.9296
```

The 12 most intense peaks (10 to 90 degrees two-theta), sorted by position:
2θ = 14.54°, rel. 22
2θ = 25.27°, rel. 36
2θ = 26.18°, rel. 32
2θ = 29.33°, rel. 54
2θ = 30.02°, rel. 100
2θ = 41.80°, rel. 19
2θ = 42.47°, rel. 78
2θ = 44.12°, rel. 18
2θ = 51.88°, rel. 21
2θ = 53.86°, rel. 20
2θ = 69.33°, rel. 19
2θ = 70.42°, rel. 17

Record 4
For Cs2SeS2, a GGA-PBE-relaxed structure gives the simulated X-ray powder pattern in this record (CuKα).
Intensities are scaled so that the largest is 100.

Cell and atoms:
```
Cs2SeS2
1.0
8.6173 0.0000 0.0000
0.0000 6.6504 0.0000
0.0000 0.0000 14.0638
Cs Se S
8 4 8
Direct
0.0638 0.2500 0.2049
0.1563 0.7500 0.4370
0.3437 0.2500 0.9370
0.4362 0.7500 0.7049
0.5638 0.2500 0.2951
0.6563 0.7500 0.0630
0.8437 0.2500 0.5630
0.9362 0.7500 0.7951
0.1492 0.7500 0.0689
0.3508 0.2500 0.5689
0.6492 0.7500 0.4311
0.8508 0.2500 0.9311
0.1917 0.2500 0.6943
0.2138 0.2500 0.4328
0.2862 0.7500 0.9328
0.3083 0.7500 0.1943
0.6917 0.2500 0.8057
0.7138 0.2500 0.0672
0.7862 0.7500 0.5672
0.8083 0.7500 0.3057
```

The 12 most intense peaks (10 to 90 degrees two-theta), sorted by position:
2θ = 21.08°, rel. 27
2θ = 21.57°, rel. 62
2θ = 23.21°, rel. 87
2θ = 24.23°, rel. 24
2θ = 25.43°, rel. 42
2θ = 26.81°, rel. 94
2θ = 27.40°, rel. 26
2θ = 27.74°, rel. 100
2θ = 28.13°, rel. 22
2θ = 34.66°, rel. 51
2θ = 39.24°, rel. 25
2θ = 47.28°, rel. 27

Record 5
For MgCdIn3Ga, a GGA-PBE-relaxed structure gives the simulated X-ray powder pattern in this record (CuKα).
Intensities are scaled so that the largest is 100.

Cell and atoms:
```
MgCdIn3Ga
1.0
9.3424 0.0000 0.0000
0.0000 3.4699 0.0000
-3.1960 0.0000 8.8639
Mg Cd In Ga
2 2 6 2
Direct
0.1228 0.2500 0.2899
0.8772 0.7500 0.7101
0.1178 0.2500 0.6247
0.8822 0.7500 0.3753
0.1271 0.2500 0.9510
0.3633 0.7500 0.5441
0.3747 0.7500 0.2062
0.6253 0.2500 0.7938
0.6367 0.2500 0.4559
0.8729 0.7500 0.0490
0.3839 0.7500 0.8806
0.6161 0.2500 0.1194
```

The 12 most intense peaks (10 to 90 degrees two-theta), sorted by position:
2θ = 32.89°, rel. 100
2θ = 35.07°, rel. 41
2θ = 35.17°, rel. 42
2θ = 38.67°, rel. 64
2θ = 41.08°, rel. 26
2θ = 52.76°, rel. 13
2θ = 57.61°, rel. 18
2θ = 57.76°, rel. 19
2θ = 64.97°, rel. 26
2θ = 68.97°, rel. 21
2θ = 69.11°, rel. 11
2θ = 69.68°, rel. 10

Record 6
For Na3ReN2, a GGA-PBE-relaxed structure gives the simulated X-ray powder pattern in this record (CuKα).
Intensities are scaled so that the largest is 100.

Cell and atoms:
```
Na3ReN2
1.0
4.3827 -3.6149 0.0000
4.3827 3.6149 0.0000
0.0000 0.0000 6.4062
Na Re N
6 2 4
Direct
0.2116 0.2116 0.0000
0.2116 0.2116 0.5000
0.2365 0.7635 0.7500
0.7635 0.2365 0.2500
0.7884 0.7884 0.0000
0.7884 0.7884 0.5000
0.3516 0.6484 0.2500
0.6484 0.3516 0.7500
0.1011 0.8989 0.2500
0.5000 0.5000 0.0000
0.5000 0.5000 0.5000
0.8989 0.1011 0.7500
```

The 12 most intense peaks (10 to 90 degrees two-theta), sorted by position:
2θ = 15.89°, rel. 53
2θ = 20.26°, rel. 61
2θ = 21.12°, rel. 100
2θ = 27.85°, rel. 19
2θ = 28.35°, rel. 39
2θ = 32.23°, rel. 18
2θ = 33.07°, rel. 19
2θ = 34.69°, rel. 53
2θ = 35.10°, rel. 45
2θ = 36.00°, rel. 26
2θ = 41.20°, rel. 18
2θ = 48.39°, rel. 18

Record 7
For Nd2Y7Th2, a GGA-PBE-relaxed structure gives the simulated X-ray powder pattern in this record (CuKα).
Intensities are scaled so that the largest is 100.

Cell and atoms:
```
Nd2Y7Th2
1.0
5.7112 -5.8224 0.0000
5.7112 5.8224 0.0000
-2.4059 0.0000 5.5551
Nd Y Th
2 7 2
Direct
0.2320 0.2320 0.0929
0.7680 0.7680 0.9071
0.0000 0.0000 0.5000
0.0618 0.5925 0.3326
0.4075 0.9382 0.6674
0.4095 0.4095 0.6981
0.5905 0.5905 0.3019
0.5925 0.0618 0.3326
0.9382 0.4075 0.6674
0.2135 0.7865 0.0000
0.7865 0.2135 0.0000
```

The 12 most intense peaks (10 to 90 degrees two-theta), sorted by position:
2θ = 15.95°, rel. 18
2θ = 23.71°, rel. 19
2θ = 25.31°, rel. 15
2θ = 29.82°, rel. 16
2θ = 30.71°, rel. 44
2θ = 30.82°, rel. 29
2θ = 31.43°, rel. 32
2θ = 31.71°, rel. 100
2θ = 33.50°, rel. 37
2θ = 33.64°, rel. 39
2θ = 44.52°, rel. 16
2θ = 49.58°, rel. 19

Record 8
For CsPmAlTe3, a GGA-PBE-relaxed structure gives the simulated X-ray powder pattern in this record (CuKα).
Intensities are scaled so that the largest is 100.

Cell and atoms:
```
CsPmAlTe3
1.0
11.2997 -2.2389 0.0000
11.2997 2.2389 0.0000
-3.0228 0.0000 9.7876
Cs Pm Al Te
2 2 2 6
Direct
0.1282 0.1282 0.0142
0.8718 0.8718 0.9858
0.1658 0.1658 0.5115
0.8342 0.8342 0.4885
0.4809 0.4809 0.3718
0.5191 0.5191 0.6282
0.0276 0.0276 0.2792
0.3058 0.3058 0.6745
0.3572 0.3572 0.2821
0.6428 0.6428 0.7179
0.6942 0.6942 0.3255
0.9724 0.9724 0.7208
```

The 12 most intense peaks (10 to 90 degrees two-theta), sorted by position:
2θ = 16.42°, rel. 14
2θ = 20.25°, rel. 10
2θ = 24.74°, rel. 25
2θ = 26.46°, rel. 26
2θ = 27.37°, rel. 100
2θ = 28.85°, rel. 25
2θ = 31.98°, rel. 32
2θ = 39.08°, rel. 11
2θ = 40.28°, rel. 21
2θ = 41.26°, rel. 31
2θ = 50.30°, rel. 11
2θ = 66.17°, rel. 15

Record 9
For PmNi8Ge2, a GGA-PBE-relaxed structure gives the simulated X-ray powder pattern in this record (CuKα).
Intensities are scaled so that the largest is 100.

Cell and atoms:
```
PmNi8Ge2
1.0
5.8426 0.0000 0.0000
0.0000 5.8426 0.0000
0.0000 0.0000 4.8566
Pm Ni Ge
1 8 2
Direct
0.0000 0.0000 0.0000
0.2985 0.2985 0.2465
0.2985 0.2985 0.7535
0.2985 0.7015 0.2465
0.2985 0.7015 0.7535
0.7015 0.2985 0.2465
0.7015 0.2985 0.7535
0.7015 0.7015 0.2465
0.7015 0.7015 0.7535
0.0000 0.5000 0.5000
0.5000 0.0000 0.5000
```

The 12 most intense peaks (10 to 90 degrees two-theta), sorted by position:
2θ = 23.82°, rel. 28
2θ = 28.36°, rel. 78
2θ = 34.32°, rel. 40
2θ = 39.15°, rel. 16
2θ = 40.22°, rel. 31
2θ = 43.83°, rel. 55
2θ = 46.64°, rel. 34
2θ = 48.77°, rel. 100
2θ = 53.03°, rel. 26
2θ = 63.71°, rel. 10
2θ = 69.77°, rel. 29
2θ = 84.15°, rel. 15

Record 10
For Tm4ZnHg7, a GGA-PBE-relaxed structure gives the simulated X-ray powder pattern in this record (CuKα).
Intensities are scaled so that the largest is 100.

Cell and atoms:
```
Tm4ZnHg7
1.0
6.3801 -2.5984 0.0000
6.3801 2.5984 0.0000
-5.3090 0.0000 9.1875
Tm Zn Hg
4 1 7
Direct
0.0782 0.0782 0.2742
0.2332 0.2332 0.8091
0.7668 0.7668 0.1909
0.9218 0.9218 0.7258
0.5000 0.5000 0.5000
0.0000 0.0000 0.5000
0.1412 0.1412 0.0364
0.3078 0.3078 0.5758
0.4252 0.4252 0.1523
0.5748 0.5748 0.8477
0.6922 0.6922 0.4242
0.8588 0.8588 0.9636
```

The 12 most intense peaks (10 to 90 degrees two-theta), sorted by position:
2θ = 17.90°, rel. 15
2θ = 30.90°, rel. 58
2θ = 34.52°, rel. 63
2θ = 35.00°, rel. 100
2θ = 39.84°, rel. 58
2θ = 47.00°, rel. 37
2θ = 54.08°, rel. 15
2θ = 62.16°, rel. 20
2θ = 64.38°, rel. 14
2θ = 65.44°, rel. 14
2θ = 71.59°, rel. 14
2θ = 73.97°, rel. 16

Record 11
For Cs2TiAsBr6, a GGA-PBE-relaxed structure gives the simulated X-ray powder pattern in this record (CuKα).
Intensities are scaled so that the largest is 100.

Cell and atoms:
```
Cs2TiAsBr6
1.0
-3.7759 3.7759 6.3403
3.7759 -3.7759 6.3403
3.7759 3.7759 -6.3403
Cs Ti As Br
2 1 1 6
Direct
0.2500 0.7500 0.5000
0.7500 0.2500 0.5000
0.0000 0.0000 0.0000
0.5000 0.5000 0.0000
0.2032 0.2032 0.0000
0.2482 0.2482 0.4964
0.2482 0.7518 0.0000
0.7518 0.2482 0.0000
0.7518 0.7518 0.5036
0.7968 0.7968 0.0000
```

The 12 most intense peaks (10 to 90 degrees two-theta), sorted by position:
2θ = 21.76°, rel. 31
2θ = 27.49°, rel. 100
2θ = 28.15°, rel. 40
2θ = 33.56°, rel. 63
2θ = 40.36°, rel. 12
2θ = 44.36°, rel. 44
2θ = 46.20°, rel. 11
2θ = 48.20°, rel. 22
2θ = 56.39°, rel. 26
2θ = 56.75°, rel. 21
2θ = 58.28°, rel. 14
2θ = 87.25°, rel. 13

Record 12
For Ce3H3N, a GGA-PBE-relaxed structure gives the simulated X-ray powder pattern in this record (CuKα).
Intensities are scaled so that the largest is 100.

Cell and atoms:
```
Ce3H3N
1.0
4.8809 0.0000 0.0000
0.0000 4.8809 0.0000
0.0000 0.0000 4.8809
Ce H N
3 3 1
Direct
0.0000 0.0000 0.5000
0.0000 0.5000 0.0000
0.5000 0.0000 0.0000
0.0000 0.5000 0.5000
0.5000 0.0000 0.5000
0.5000 0.5000 0.0000
0.0000 0.0000 0.0000
```

The 12 most intense peaks (10 to 90 degrees two-theta), sorted by position:
2θ = 18.18°, rel. 44
2θ = 25.81°, rel. 26
2θ = 31.75°, rel. 100
2θ = 36.83°, rel. 60
2θ = 41.36°, rel. 21
2θ = 45.52°, rel. 11
2θ = 53.07°, rel. 41
2θ = 56.57°, rel. 10
2θ = 63.18°, rel. 43
2θ = 66.34°, rel. 14
2θ = 87.02°, rel. 18
2θ = 89.88°, rel. 19